No. 1
Starting from a structure optimized by DFT (PBE), the powder diffraction line list of Ca2PrHg2 was simulated for Cu Ka.
Neutral-atom scattering factors, no anomalous dispersion.

Structure:
Lattice parameters (Å, degrees): 5.407 5.332 11.126 90.00 90.10 90.00
Space group P2_1/m (No. 11)
One atom of each set of equivalent atoms:
Ca1 0.249 0.250 0.327 x2
Ca2 0.250 0.250 0.002 x2
Pr1 0.251 0.250 0.670 x2
Hg1 0.250 0.750 0.497 x2
Hg2 0.251 0.750 0.833 x2

Peak list (10 most intense, 2θ = 15–90°, in order of rising 2θ)
d_spacing	Rel. int.
4.863	37.1
3.849	23.1
2.703	26.4
2.666	25.4
2.653	100.0
2.338	11.9
2.212	10.9
1.898	18.8
1.551	19.4
1.537	18.9



No. 2
Starting from a structure optimized by DFT (PBE), the powder diffraction line list of PrHo3H8 was simulated for Cu Ka.
Neutral-atom scattering factors, no anomalous dispersion.

Structure:
Lattice parameters (Å, degrees): 5.239 5.239 5.239 90.00 90.00 90.00
Space group Pm-3m (No. 221)
One atom of each set of equivalent atoms:
Pr1 0.000 0.000 0.000 x1
Ho1 0.000 0.500 0.500 x3
H1 0.260 0.260 0.260 x8

Peak list (8 most intense, 2θ = 15–90°, in order of rising 2θ)
d_spacing	Rel. int.
3.025	100.0
2.620	49.0
1.852	37.7
1.580	44.0
1.512	12.5
1.310	6.0
1.202	17.9
1.172	16.5



No. 3
Starting from a structure optimized by DFT (PBE), the powder diffraction line list of Sc2ZnPd3 was simulated for Cu Ka.
Neutral-atom scattering factors, no anomalous dispersion.

Structure:
Lattice parameters (Å, degrees): 4.5769 4.5769 11.1534 90.00 90.00 120.00
Space group P-3m1 (No. 164)
One atom of each set of equivalent atoms:
Sc1 0.0000 0.0000 0.0000 x1
Sc2 0.0000 0.0000 0.5000 x1
Sc3 0.3333 0.6667 0.1800 x2
Zn1 0.3333 0.6667 0.6672 x2
Pd1 0.0000 0.0000 0.2521 x2
Pd2 0.3333 0.6667 0.4235 x2
Pd3 0.3333 0.6667 0.9163 x2

Peak list (10 most intense, 2θ = 15–90°, in order of rising 2θ)
d_spacing	Rel. int.
3.231	29.8
2.288	100.0
2.281	97.9
1.867	6.5
1.615	32.2
1.447	5.8
1.320	47.9
1.315	15.0
1.144	10.1
1.140	9.5



No. 4
Starting from a structure optimized by DFT (PBE), the powder diffraction line list of La3Ho3In2 was simulated for Cu Ka.
Neutral-atom scattering factors, no anomalous dispersion.

Structure:
Lattice parameters (Å, degrees): 8.8656 8.8656 10.9535 90.00 90.00 120.00
Space group R32 (No. 155, hexagonal axes)
One atom of each set of equivalent atoms:
La1 0.0000 0.2582 0.0000 x9
Ho1 0.0000 0.7581 0.5000 x9
In1 0.0000 0.0000 0.2506 x6

Peak list (10 most intense, 2θ = 15–90°, in order of rising 2θ)
d_spacing	Rel. int.
3.144	53.1
2.818	99.9
2.805	100.0
2.579	31.7
2.563	93.5
1.748	24.9
1.739	23.1
1.676	33.8
1.572	30.3
1.369	21.9



No. 5
Starting from a structure optimized by DFT (PBE), the powder diffraction line list of ScCrAg3 was simulated for Cu Ka.
Neutral-atom scattering factors, no anomalous dispersion.

Structure:
Lattice parameters (Å, degrees): 4.905 4.905 4.905 90.00 90.00 90.00
Space group Pm-3m (No. 221)
One atom of each set of equivalent atoms:
Sc1 0.000 0.000 0.000 x1
Cr1 0.500 0.500 0.500 x1
Ag1 0.000 0.500 0.500 x3

Peak list (10 most intense, 2θ = 15–90°, in order of rising 2θ)
d_spacing	Rel. int.
4.905	40.5
2.832	100.0
2.453	87.9
2.194	19.6
1.734	57.8
1.635	9.2
1.479	38.4
1.416	18.8
1.125	16.0
1.097	25.1



No. 6
Starting from a structure optimized by DFT (PBE), the powder diffraction line list of Ti3P was simulated for Cu Ka.
Neutral-atom scattering factors, no anomalous dispersion.

Structure:
Lattice parameters (Å, degrees): 9.980 9.980 4.948 90.00 90.00 90.00
Space group I-4 (No. 82)
One atom of each set of equivalent atoms:
Ti1 0.028 0.362 0.478 x8
Ti2 0.082 0.891 0.269 x8
Ti3 0.181 0.783 0.749 x8
P1 0.040 0.292 0.973 x8

Peak list (10 most intense, 2θ = 15–90°, in order of rising 2θ)
d_spacing	Rel. int.
2.416	97.6
2.352	34.5
2.335	58.3
2.232	42.0
2.217	17.2
2.174	100.0
2.026	29.3
1.957	22.2
1.947	30.7
1.237	16.2